The following is a calculated X-ray diffraction stick pattern of VIn2BiO6. It was derived from a structure optimized by DFT (GGA+U), using copper Kα.

Most intense lines, 15° ≤ 2θ ≤ 90°, in order of rising 2θ:
- (1 0 -1), 2θ 19.27, I 35
- (1 -1 1), 2θ 30.17, I 100
- (1 0 -2), 2θ 30.51, I 49
- (1 1 -1), 2θ 31.72, I 47
- (1 -2 0), 2θ 31.99, I 91
- (2 0 0), 2θ 44.11, I 21
- (0 2 -2), 2θ 44.65, I 20
- (-2 2 2), 2θ 44.92, I 19
- (2 -3 1), 2θ 55.98, I 20
- (3 0 -2), 2θ 56.68, I 27

Crystal structure
Cell: 5.596 5.596 5.878 Å, 90.29 117.79 119.45°
Positions (direct):
V 0.000 0.000 0.000
In 0.580 0.796 0.371
In 0.597 0.306 0.900
Bi 0.028 0.517 0.547
O 0.102 0.942 0.720
O 0.107 0.731 0.186
O 0.485 0.395 0.198
O 0.544 0.620 0.715
O 0.789 0.177 0.718
O 0.817 0.101 0.197